1.
CsRb2CrCl8: calculated powder XRD pattern (Cu Ka), based on a crystal structure in Alexandria, relaxed with PBE.
No peak broadening, texture or thermal motion is included.

Cell and atoms:
Cell lengths 5.7115, 6.9806, 9.6973 Å; angles 89.99, 75.09, 89.96 degrees
Element x y z (fractional)
Cs  0.0000  0.0000  0.0000
Rb  0.3502  0.4996  0.3127
Rb  0.6498  0.5004  0.6873
Cr  0.0000  0.0000  0.5000
Cl  0.1753  0.2326  0.6099
Cl  0.1747  0.7660  0.6094
Cl  0.2455  0.4999  0.9981
Cl  0.3277  0.0000  0.3006
Cl  0.6723  0.0000  0.6994
Cl  0.7545  0.5001  0.0019
Cl  0.8253  0.2340  0.3906
Cl  0.8247  0.7674  0.3901

The 10 most intense peaks (2θ from 15° to 90°), in order of rising 2θ:
| two_theta | Rel. int. |
| --- | --- |
| 20.5 | 81 |
| 21.5 | 53 |
| 22.9 | 28 |
| 25.5 | 47 |
| 28.6 | 52 |
| 31.3 | 35 |
| 33.1 | 73 |
| 33.6 | 100 |
| 35.6 | 30 |
| 42.1 | 27 |

=====

2.
ZrCdPtRh: calculated powder XRD pattern (Cu Ka), based on a crystal structure in Alexandria, relaxed with PBE.
No peak broadening, texture or thermal motion is included.

Cell and atoms:
Cell lengths 4.8327, 4.8327, 4.8327 Å; angles 126.89, 126.89, 78.43 degrees
Element x y z (fractional)
Zr  0.0000  0.0000  0.0000
Cd  0.5000  0.5000  0.0000
Pt  0.7500  0.2500  0.5000
Rh  0.2500  0.7500  0.5000

The 10 most intense peaks (2θ from 15° to 90°), in order of rising 2θ:
| two_theta | Rel. int. |
| --- | --- |
| 23.8 | 12 |
| 29.2 | 3 |
| 38.0 | 100 |
| 41.8 | 41 |
| 48.6 | 17 |
| 60.6 | 14 |
| 66.0 | 21 |
| 73.8 | 28 |
| 81.3 | 12 |
| 83.7 | 10 |

=====

3.
Li3B8C8: calculated powder XRD pattern (Cu Ka), based on a crystal structure in Alexandria, relaxed with PBE.
No peak broadening, texture or thermal motion is included.

Cell and atoms:
Cell lengths 8.6030, 2.7113, 8.6595 Å; angles 90.00, 115.45, 90.00 degrees
Element x y z (fractional)
Li  0.0000  0.0000  0.0000
Li  0.0000  0.5000  0.5000
Li  0.5000  0.0000  0.5000
B  0.0624  0.0000  0.2962
B  0.2079  0.5000  0.9350
B  0.2978  0.5000  0.5627
B  0.4378  0.0000  0.2024
B  0.5622  0.0000  0.7976
B  0.7022  0.5000  0.4373
B  0.7921  0.5000  0.0650
B  0.9376  0.0000  0.7038
C  0.0210  0.5000  0.7869
C  0.2138  0.0000  0.4797
C  0.2873  0.0000  0.0175
C  0.4828  0.5000  0.7136
C  0.5172  0.5000  0.2864
C  0.7127  0.0000  0.9825
C  0.7862  0.0000  0.5203
C  0.9790  0.5000  0.2131

The 10 most intense peaks (2θ from 15° to 90°), in order of rising 2θ:
| two_theta | Rel. int. |
| --- | --- |
| 24.4 | 100 |
| 38.5 | 7 |
| 39.1 | 4 |
| 46.0 | 9 |
| 46.2 | 8 |
| 46.5 | 5 |
| 46.8 | 5 |
| 50.0 | 10 |
| 69.3 | 4 |
| 70.4 | 6 |